Simulated powder diffractogram
Compound: Pr12Re5C15
Radiation: copper Kα
Structure: a structure optimized by DFT (PBE)
Kinematic intensities with the Lorentz-polarization factor, no thermal factor.

Largest 10 diffraction maxima, in order of falling intensity, 5° ≤ 2θ ≤ 70°:
| two_theta | d_spacing | Rel. int. | h k l |
| --- | --- | --- | --- |
| 29.62 | 3.016 | 100.0 | 2 1 1 |
| 33.61 | 2.666 | 42.5 | 3 1 0 |
| 33.14 | 2.703 | 40.8 | 0 0 2 |
| 47.92 | 1.898 | 31.2 | 3 1 2 |
| 32.48 | 2.756 | 25.8 | 3 0 1 |
| 36.39 | 2.469 | 17.6 | 2 2 1 |
| 57.05 | 1.614 | 16.4 | 2 1 3 |
| 18.83 | 4.712 | 10.9 | 1 0 1 |
| 66.03 | 1.415 | 9.4 | 6 1 1 |
| 37.62 | 2.391 | 8.6 | 3 1 1 |

Atomic structure:
Unit cell a=11.0999 b=11.0999 c=5.4063 alpha=90.00 beta=90.00 gamma=120.00
Sites, in units of the cell vectors:
1 Pr 0.0000 0.4228 0.0000
2 Pr 0.0000 0.7942 0.0000
3 Pr 0.1868 0.7289 0.5000
4 Pr 0.2058 0.2058 0.0000
5 Pr 0.2711 0.4578 0.5000
6 Pr 0.4228 0.0000 0.0000
7 Pr 0.4578 0.2711 0.5000
8 Pr 0.5422 0.8132 0.5000
9 Pr 0.5772 0.5772 0.0000
10 Pr 0.7289 0.1868 0.5000
11 Pr 0.7942 0.0000 0.0000
12 Pr 0.8132 0.5422 0.5000
13 Re 0.0000 0.1529 0.5000
14 Re 0.1529 0.0000 0.5000
15 Re 0.3333 0.6667 0.0000
16 Re 0.6667 0.3333 0.0000
17 Re 0.8471 0.8471 0.5000
18 C 0.0000 0.3277 0.5000
19 C 0.0000 0.4496 0.5000
20 C 0.0000 0.7948 0.5000
21 C 0.1891 0.7133 0.0000
22 C 0.2052 0.2052 0.5000
23 C 0.2867 0.4758 0.0000
24 C 0.3277 0.0000 0.5000
25 C 0.4496 0.0000 0.5000
26 C 0.4758 0.2867 0.0000
27 C 0.5242 0.8109 0.0000
28 C 0.5504 0.5504 0.5000
29 C 0.6723 0.6723 0.5000
30 C 0.7133 0.1891 0.0000
31 C 0.7948 0.0000 0.5000
32 C 0.8109 0.5242 0.0000